1.
Computed X-ray powder pattern of Th2In3Sn3 for Cu Kα, from a PBE-relaxed structure.
Lines closer than 0.1° are merged.

Structural model:
a b c (Å): 4.744 4.839 9.342
angles (deg): 90.00 90.00 90.00
Element x y z (fractional)
Th (0.000, 0.000, 0.245)
Th (0.000, 0.000, 0.755)
In (0.000, 0.500, 0.500)
In (0.500, 0.500, 0.251)
In (0.500, 0.500, 0.749)
Sn (0.000, 0.500, 0.000)
Sn (0.500, 0.000, 0.000)
Sn (0.500, 0.000, 0.500)

Most intense lines, 15 to 90 degrees two-theta, sorted by position:
| 2theta | I_rel |
| --- | --- |
| 32.65 | 100 |
| 37.16 | 18 |
| 37.93 | 17 |
| 38.55 | 16 |
| 54.15 | 12 |
| 54.62 | 12 |
| 64.16 | 15 |
| 65.20 | 14 |
| 66.04 | 13 |
| 68.42 | 12 |

2.
Computed X-ray powder pattern of InCuTeSe for Cu Kα, from a PBE-relaxed structure.
Lines closer than 0.1° are merged.

Structural model:
a b c (Å): 7.475 7.475 7.475
angles (deg): 131.97 131.71 70.49
Element x y z (fractional)
In (0.117, 0.367, 0.750)
In (0.383, 0.133, 0.250)
Cu (0.616, 0.866, 0.750)
Cu (0.884, 0.634, 0.250)
Te (0.536, 0.250, 0.786)
Te (0.964, 0.750, 0.714)
Se (0.250, 0.530, 0.280)
Se (0.750, 0.970, 0.220)

Most intense lines, 15 to 90 degrees two-theta, sorted by position:
| 2theta | I_rel |
| --- | --- |
| 25.28 | 100 |
| 41.85 | 48 |
| 41.92 | 25 |
| 49.49 | 29 |
| 49.66 | 15 |
| 66.74 | 5 |
| 66.88 | 11 |
| 76.42 | 13 |
| 76.61 | 7 |
| 82.04 | 6 |

3.
Computed X-ray powder pattern of MnPd3 for Cu Kα, from a PBE-relaxed structure.
Lines closer than 0.1° are merged.

Structural model:
a b c (Å): 8.336 8.336 8.336
angles (deg): 152.67 152.67 39.04
Element x y z (fractional)
Mn (0.124, 0.124, 0.000)
Mn (0.876, 0.876, 0.000)
Pd (0.000, 0.500, 0.500)
Pd (0.250, 0.750, 0.500)
Pd (0.375, 0.375, 0.000)
Pd (0.500, 0.000, 0.500)
Pd (0.625, 0.625, 0.000)
Pd (0.750, 0.250, 0.500)

Most intense lines, 15 to 90 degrees two-theta, sorted by position:
| 2theta | I_rel |
| --- | --- |
| 23.28 | 4 |
| 28.35 | 2 |
| 39.66 | 100 |
| 46.08 | 32 |
| 46.22 | 16 |
| 67.22 | 10 |
| 67.32 | 20 |
| 80.96 | 24 |
| 81.16 | 12 |
| 85.46 | 10 |

4.
Computed X-ray powder pattern of MgTiCrS4 for Cu Kα, from a PBE-relaxed structure.
Lines closer than 0.1° are merged.

Structural model:
a b c (Å): 7.302 7.302 7.302
angles (deg): 120.95 119.23 89.85
Element x y z (fractional)
Mg (0.376, 0.126, 0.250)
Mg (0.624, 0.874, 0.750)
Ti (0.000, 0.000, 0.500)
Ti (0.000, 0.500, 0.000)
Cr (0.000, 0.500, 0.500)
Cr (0.500, 0.500, 0.000)
S (0.218, 0.737, 0.481)
S (0.239, 0.266, 0.527)
S (0.239, 0.713, 0.973)
S (0.244, 0.263, 0.981)
S (0.756, 0.737, 0.019)
S (0.761, 0.287, 0.027)
S (0.761, 0.734, 0.473)
S (0.782, 0.263, 0.519)

Most intense lines, 15 to 90 degrees two-theta, sorted by position:
| 2theta | I_rel |
| --- | --- |
| 28.52 | 53 |
| 28.72 | 19 |
| 28.92 | 32 |
| 34.70 | 50 |
| 34.81 | 100 |
| 45.51 | 28 |
| 45.96 | 25 |
| 49.35 | 26 |
| 49.97 | 97 |
| 50.74 | 22 |

5.
Computed X-ray powder pattern of KHfPdF7 for Cu Kα, from a PBE-relaxed structure.
Lines closer than 0.1° are merged.

Structural model:
a b c (Å): 11.555 8.105 6.488
angles (deg): 90.00 90.00 90.00
Element x y z (fractional)
K (0.250, 0.000, 0.232)
K (0.250, 0.500, 0.268)
K (0.750, 0.000, 0.768)
K (0.750, 0.500, 0.732)
Hf (0.093, 0.250, 0.750)
Hf (0.407, 0.750, 0.750)
Hf (0.593, 0.250, 0.250)
Hf (0.907, 0.750, 0.250)
Pd (0.099, 0.750, 0.750)
Pd (0.401, 0.250, 0.750)
Pd (0.599, 0.750, 0.250)
Pd (0.901, 0.250, 0.250)
F (0.047, 0.181, 0.451)
F (0.047, 0.319, 0.049)
F (0.080, 0.750, 0.250)
F (0.105, 0.014, 0.849)
F (0.105, 0.486, 0.651)
F (0.244, 0.208, 0.567)
F (0.244, 0.292, 0.933)
F (0.256, 0.708, 0.933)
F (0.256, 0.792, 0.567)
F (0.395, 0.514, 0.651)
F (0.395, 0.986, 0.849)
F (0.420, 0.250, 0.250)
F (0.453, 0.681, 0.049)
F (0.453, 0.819, 0.451)
F (0.547, 0.181, 0.549)
F (0.547, 0.319, 0.951)
F (0.580, 0.750, 0.750)
F (0.605, 0.014, 0.151)
F (0.605, 0.486, 0.349)
F (0.744, 0.208, 0.433)
F (0.744, 0.292, 0.067)
F (0.756, 0.708, 0.067)
F (0.756, 0.792, 0.433)
F (0.895, 0.514, 0.349)
F (0.895, 0.986, 0.151)
F (0.920, 0.250, 0.750)
F (0.953, 0.681, 0.951)
F (0.953, 0.819, 0.549)

Most intense lines, 15 to 90 degrees two-theta, sorted by position:
| 2theta | I_rel |
| --- | --- |
| 15.66 | 66 |
| 21.93 | 62 |
| 26.91 | 100 |
| 27.07 | 60 |
| 27.49 | 38 |
| 34.99 | 26 |
| 47.74 | 35 |
| 48.26 | 22 |
| 52.98 | 28 |
| 53.60 | 21 |

6.
Computed X-ray powder pattern of Mg3Bi for Cu Kα, from a PBE-relaxed structure.
Lines closer than 0.1° are merged.

Structural model:
a b c (Å): 6.272 6.272 6.272
angles (deg): 149.61 63.68 125.50
Element x y z (fractional)
Mg (0.000, 0.000, 0.000)
Mg (0.416, 0.668, 0.748)
Mg (0.920, 0.668, 0.252)
Bi (0.498, 0.998, 0.500)

Most intense lines, 15 to 90 degrees two-theta, sorted by position:
| 2theta | I_rel |
| --- | --- |
| 16.64 | 56 |
| 17.54 | 100 |
| 28.41 | 33 |
| 29.57 | 30 |
| 31.35 | 35 |
| 33.64 | 26 |
| 35.51 | 39 |
| 35.69 | 77 |
| 42.65 | 23 |
| 46.64 | 24 |

7.
Computed X-ray powder pattern of LiCuAuO2 for Cu Kα, from a PBE-relaxed structure.
Lines closer than 0.1° are merged.

Structural model:
a b c (Å): 3.283 3.283 7.567
angles (deg): 103.45 103.45 60.57
Element x y z (fractional)
Li (0.000, 0.000, 0.000)
Cu (0.888, 0.888, 0.610)
Au (0.442, 0.442, 0.300)
O (0.345, 0.345, 0.027)
O (0.548, 0.548, 0.598)

Most intense lines, 15 to 90 degrees two-theta, sorted by position:
| 2theta | I_rel |
| --- | --- |
| 24.43 | 20 |
| 31.60 | 37 |
| 32.28 | 100 |
| 32.80 | 49 |
| 35.58 | 39 |
| 37.01 | 40 |
| 37.40 | 42 |
| 42.64 | 21 |
| 43.11 | 41 |
| 56.05 | 45 |